(1)
Starting from DFT lattice parameters and positions (GGA-PBE), the powder diffraction line list of Ba4Ti3O10 was simulated for Cu Kα (λ = 1.5418 Å).
Lines closer than 0.1° are merged.

Crystal structure
```
data_Ba4Ti3O10
_chemical_formula_sum 'Ba8 Ti6 O20'
_cell_length_a 4.0644
_cell_length_b 4.0644
_cell_length_c 29.5654
_cell_angle_alpha 90.00
_cell_angle_beta 90.00
_cell_angle_gamma 90.12
_space_group_name_H-M_alt 'P 1'
_space_group_IT_number 1
loop_
_space_group_symop_operation_xyz
'x,y,z'
loop_
_atom_site_label
_atom_site_type_symbol
_atom_site_fract_x
_atom_site_fract_y
_atom_site_fract_z
_atom_site_occupancy
Ba1 Ba 0.0032 0.9968 0.9328 1
Ba2 Ba 0.0052 0.9948 0.7986 1
Ba3 Ba 0.4948 0.5052 0.2986 1
Ba4 Ba 0.4968 0.5032 0.4328 1
Ba5 Ba 0.5032 0.4968 0.5672 1
Ba6 Ba 0.5052 0.4948 0.7014 1
Ba7 Ba 0.9948 0.0052 0.2014 1
Ba8 Ba 0.9968 0.0032 0.0672 1
Ti1 Ti 0.0000 0.0000 0.5000 1
Ti2 Ti 0.0204 0.9796 0.6374 1
Ti3 Ti 0.4796 0.5204 0.1374 1
Ti4 Ti 0.5000 0.5000 0.0000 1
Ti5 Ti 0.5204 0.4796 0.8626 1
Ti6 Ti 0.9796 0.0204 0.3626 1
O1 O 0.0000 0.5000 0.0000 1
O2 O 0.0000 0.5000 0.5000 1
O3 O 0.0025 0.9975 0.4322 1
O4 O 0.0041 0.4873 0.3631 1
O5 O 0.0047 0.9953 0.2963 1
O6 O 0.0127 0.4959 0.1369 1
O7 O 0.4873 0.0041 0.6369 1
O8 O 0.4953 0.5047 0.7963 1
O9 O 0.4959 0.0127 0.8631 1
O10 O 0.4975 0.5025 0.9322 1
O11 O 0.5000 0.0000 0.0000 1
O12 O 0.5000 0.0000 0.5000 1
O13 O 0.5025 0.4975 0.0678 1
O14 O 0.5041 0.9873 0.1369 1
O15 O 0.5047 0.4953 0.2037 1
O16 O 0.5127 0.9959 0.3631 1
O17 O 0.9873 0.5041 0.8631 1
O18 O 0.9953 0.0047 0.7037 1
O19 O 0.9959 0.5127 0.6369 1
O20 O 0.9975 0.0025 0.5678 1
```

Top 12 peaks for 5 to 70 degrees two-theta, in order of rising 2θ:
| 2theta | d_spacing | I/Imax |
| --- | --- | --- |
| 22.08 | 4.026 | 19 |
| 24.08 | 3.696 | 13 |
| 30.52 | 2.929 | 100 |
| 31.12 | 2.874 | 62 |
| 39.73 | 2.269 | 35 |
| 42.82 | 2.112 | 12 |
| 44.59 | 2.032 | 37 |
| 51.31 | 1.781 | 7 |
| 51.53 | 1.773 | 8 |
| 53.87 | 1.702 | 13 |
| 55.00 | 1.670 | 37 |
| 63.54 | 1.464 | 13 |

***

(2)
Starting from DFT lattice parameters and positions (GGA-PBE), the powder diffraction line list of BaTi2O5 was simulated for Cu Kα (λ = 1.5418 Å).
Lines closer than 0.1° are merged.

Crystal structure
```
data_BaTi2O5
_chemical_formula_sum 'Ba3 Ti6 O15'
_cell_length_a 8.7498
_cell_length_b 8.7498
_cell_length_c 9.5955
_cell_angle_alpha 102.51
_cell_angle_beta 102.51
_cell_angle_gamma 26.22
_space_group_name_H-M_alt 'P 1'
_space_group_IT_number 1
loop_
_space_group_symop_operation_xyz
'x,y,z'
loop_
_atom_site_label
_atom_site_type_symbol
_atom_site_fract_x
_atom_site_fract_y
_atom_site_fract_z
_atom_site_occupancy
Ba1 Ba 0.0000 0.0000 0.0000 1
Ba2 Ba 0.1299 0.1340 0.4840 1
Ba3 Ba 0.8660 0.8701 0.5160 1
Ti1 Ti 0.3045 0.2826 0.1274 1
Ti2 Ti 0.3395 0.3274 0.8044 1
Ti3 Ti 0.4308 0.4915 0.2906 1
Ti4 Ti 0.5085 0.5692 0.7094 1
Ti5 Ti 0.6726 0.6605 0.1956 1
Ti6 Ti 0.7174 0.6955 0.8726 1
O1 O 0.0528 0.0170 0.7090 1
O2 O 0.1826 0.1673 0.1627 1
O3 O 0.2437 0.2271 0.8990 1
O4 O 0.2934 0.2856 0.6227 1
O5 O 0.3540 0.3405 0.3140 1
O6 O 0.3973 0.3860 0.0748 1
O7 O 0.4550 0.4298 0.7893 1
O8 O 0.5109 0.4891 0.5000 1
O9 O 0.5702 0.5450 0.2107 1
O10 O 0.6140 0.6027 0.9252 1
O11 O 0.6595 0.6460 0.6860 1
O12 O 0.7144 0.7066 0.3773 1
O13 O 0.7729 0.7563 0.1010 1
O14 O 0.8327 0.8174 0.8373 1
O15 O 0.9830 0.9472 0.2910 1
```

Top 12 peaks for 5 to 70 degrees two-theta, in order of rising 2θ:
| 2theta | d_spacing | I/Imax |
| --- | --- | --- |
| 21.39 | 4.155 | 29 |
| 25.33 | 3.517 | 81 |
| 28.06 | 3.180 | 100 |
| 29.22 | 3.056 | 79 |
| 30.46 | 2.935 | 57 |
| 30.78 | 2.905 | 60 |
| 31.82 | 2.812 | 57 |
| 37.42 | 2.403 | 29 |
| 42.42 | 2.131 | 38 |
| 43.57 | 2.077 | 53 |
| 45.72 | 1.985 | 53 |
| 64.99 | 1.435 | 28 |